No. 1
YAlPt3: theoretical XRD peak list (CuKα), based on a GGA-PBE-relaxed structure.
No peak broadening, texture or thermal motion is included.

Atomic structure:
a b c (Å): 6.2134 6.2851 5.1173
angles (deg): 90.00 90.00 90.00
Sites, in units of the cell vectors:
Y  0.0000  0.0000  0.0000
Y  0.5000  0.5000  0.0000
Al  0.0000  0.5000  0.5000
Al  0.5000  0.0000  0.5000
Pt  0.0000  0.5000  0.0000
Pt  0.1490  0.1515  0.5000
Pt  0.3510  0.6515  0.5000
Pt  0.5000  0.0000  0.0000
Pt  0.6490  0.3485  0.5000
Pt  0.8510  0.8485  0.5000

Most intense lines, 10° ≤ 2θ ≤ 80°, most intense first:
d_spacing, I (rel.)
2.559, 100
3.344, 70
2.678, 68
2.446, 65
2.459, 64
2.656, 63
2.785, 47
2.804, 45
2.209, 33
1.985, 31
1.884, 30
1.890, 29

***

No. 2
La7Tl4Br4: theoretical XRD peak list (CuKα), based on a GGA-PBE-relaxed structure.
No peak broadening, texture or thermal motion is included.

Atomic structure:
a b c (Å): 12.2293 12.2293 12.2293
angles (deg): 94.16 94.16 148.76
Sites, in units of the cell vectors:
La  0.0000  0.3908  0.3908
La  0.0000  0.6092  0.6092
La  0.1948  0.1948  0.3896
La  0.1948  0.8052  0.0000
La  0.2269  0.5000  0.7269
La  0.2378  0.2378  0.0000
La  0.3908  0.0000  0.3908
La  0.5000  0.2269  0.7269
La  0.5000  0.7731  0.2731
La  0.6092  0.0000  0.6092
La  0.7622  0.7622  0.0000
La  0.7731  0.5000  0.2731
La  0.8052  0.1948  0.0000
La  0.8052  0.8052  0.6104
Tl  0.0000  0.1827  0.1827
Tl  0.0000  0.8173  0.8173
Tl  0.1827  0.0000  0.1827
Tl  0.3725  0.3725  0.7450
Tl  0.3725  0.6275  0.0000
Tl  0.6275  0.3725  0.0000
Tl  0.6275  0.6275  0.2550
Tl  0.8173  0.0000  0.8173
Br  0.0993  0.5993  0.1986
Br  0.0993  0.9007  0.5000
Br  0.4007  0.5993  0.5000
Br  0.4007  0.9007  0.8014
Br  0.5993  0.0993  0.1986
Br  0.5993  0.4007  0.5000
Br  0.9007  0.0993  0.5000
Br  0.9007  0.4007  0.8014

Most intense lines, 10° ≤ 2θ ≤ 80°, most intense first:
d_spacing, I (rel.)
2.973, 100
2.792, 38
1.833, 25
2.776, 19
3.292, 17
2.029, 15
2.467, 13
2.356, 11
2.944, 9
1.453, 9
2.874, 8
1.646, 8

***

No. 3
K5Rb5Cd: theoretical XRD peak list (CuKα), based on a GGA-PBE-relaxed structure.
No peak broadening, texture or thermal motion is included.

Atomic structure:
a b c (Å): 11.3996 11.3996 14.2627
angles (deg): 127.20 127.20 36.89
Sites, in units of the cell vectors:
K  0.0000  0.0000  0.0000
K  0.3371  0.3371  0.0152
K  0.3457  0.3457  0.6650
K  0.6543  0.6543  0.3350
K  0.6629  0.6629  0.9848
Rb  0.0117  0.0117  0.7044
Rb  0.2465  0.2465  0.2493
Rb  0.5000  0.5000  0.5000
Rb  0.7535  0.7535  0.7507
Rb  0.9883  0.9883  0.2956
Cd  0.5000  0.5000  0.0000

Most intense lines, 10° ≤ 2θ ≤ 80°, most intense first:
d_spacing, I (rel.)
3.969, 100
3.607, 92
3.559, 70
3.784, 59
3.708, 51
4.166, 49
2.536, 48
4.879, 38
2.727, 33
5.063, 33
8.332, 31
2.146, 29

***

No. 4
PuBPt3: theoretical XRD peak list (CuKα), based on a GGA-PBE-relaxed structure.
No peak broadening, texture or thermal motion is included.

Atomic structure:
a b c (Å): 3.9881 3.9881 10.2993
angles (deg): 90.00 90.00 90.00
Sites, in units of the cell vectors:
Pu  0.0000  0.0000  0.0000
Pu  0.5000  0.5000  0.5000
B  0.0000  0.0000  0.3594
B  0.5000  0.5000  0.8594
Pt  0.0000  0.0000  0.5638
Pt  0.0000  0.5000  0.2648
Pt  0.0000  0.5000  0.7648
Pt  0.5000  0.0000  0.2648
Pt  0.5000  0.0000  0.7648
Pt  0.5000  0.5000  0.0638

Most intense lines, 10° ≤ 2θ ≤ 80°, most intense first:
d_spacing, I (rel.)
2.473, 100
1.994, 30
1.225, 23
2.575, 21
1.577, 19
2.602, 12
1.410, 10
1.466, 10
1.830, 9
1.237, 9
1.348, 7
1.583, 5

***

No. 5
Pr3Mg2Zn: theoretical XRD peak list (CuKα), based on a GGA-PBE-relaxed structure.
No peak broadening, texture or thermal motion is included.

Atomic structure:
a b c (Å): 5.4385 16.3547 3.8324
angles (deg): 90.00 90.00 90.00
Sites, in units of the cell vectors:
Pr  0.0000  0.0000  0.0000
Pr  0.0000  0.3430  0.0000
Pr  0.0000  0.6570  0.0000
Pr  0.5000  0.1570  0.0000
Pr  0.5000  0.5000  0.0000
Pr  0.5000  0.8430  0.0000
Mg  0.0000  0.1741  0.5000
Mg  0.0000  0.8259  0.5000
Mg  0.5000  0.3259  0.5000
Mg  0.5000  0.6741  0.5000
Zn  0.0000  0.5000  0.5000
Zn  0.5000  0.0000  0.5000

Most intense lines, 10° ≤ 2θ ≤ 80°, most intense first:
d_spacing, I (rel.)
2.716, 100
2.722, 49
3.850, 37
1.569, 27
3.832, 19
1.925, 17
2.219, 17
1.572, 16
1.358, 14
1.720, 11
1.217, 10
1.566, 9

***

No. 6
Sm3Sb5O12: theoretical XRD peak list (CuKα), based on a GGA-PBE-relaxed structure.
No peak broadening, texture or thermal motion is included.

Atomic structure:
a b c (Å): 9.5694 9.5694 9.5694
angles (deg): 109.47 109.47 109.47
Sites, in units of the cell vectors:
Sm  0.2500  0.5000  0.7500
Sm  0.2500  0.7500  0.5000
Sm  0.5000  0.2500  0.7500
Sm  0.5000  0.7500  0.2500
Sm  0.7500  0.2500  0.5000
Sm  0.7500  0.5000  0.2500
Sb  0.0000  0.0000  0.4910
Sb  0.0000  0.2818  0.2818
Sb  0.0000  0.4910  0.0000
Sb  0.0000  0.7182  0.7182
Sb  0.2818  0.0000  0.2818
Sb  0.2818  0.2818  0.0000
Sb  0.4910  0.0000  0.0000
Sb  0.5090  0.5090  0.5090
Sb  0.7182  0.0000  0.7182
Sb  0.7182  0.7182  0.0000
O  0.0000  0.2932  0.4931
O  0.0000  0.4931  0.2932
O  0.0000  0.5252  0.8009
O  0.0000  0.8009  0.5252
O  0.1991  0.1991  0.7243
O  0.1991  0.7243  0.1991
O  0.1998  0.7068  0.7068
O  0.2757  0.4748  0.4748
O  0.2932  0.0000  0.4931
O  0.2932  0.4931  0.0000
O  0.4748  0.2757  0.4748
O  0.4748  0.4748  0.2757
O  0.4931  0.0000  0.2932
O  0.4931  0.2932  0.0000
O  0.5069  0.5069  0.8002
O  0.5069  0.8002  0.5069
O  0.5252  0.0000  0.8009
O  0.5252  0.8009  0.0000
O  0.7068  0.1998  0.7068
O  0.7068  0.7068  0.1998
O  0.7243  0.1991  0.1991
O  0.8002  0.5069  0.5069
O  0.8009  0.0000  0.5252
O  0.8009  0.5252  0.0000

Most intense lines, 10° ≤ 2θ ≤ 80°, most intense first:
d_spacing, I (rel.)
3.190, 100
1.953, 43
1.666, 39
2.762, 35
7.813, 14
1.267, 13
1.235, 11
1.595, 9
1.381, 6
1.504, 4
2.356, 4
2.953, 4

***

No. 7
TlVSnCl6: theoretical XRD peak list (CuKα), based on a GGA-PBE-relaxed structure.
No peak broadening, texture or thermal motion is included.

Atomic structure:
a b c (Å): 6.9253 6.9253 6.7765
angles (deg): 90.00 90.00 120.00
Sites, in units of the cell vectors:
Tl  0.0000  0.0000  0.0000
V  0.6667  0.3333  0.5000
Sn  0.3333  0.6667  0.5000
Cl  0.3906  0.0439  0.7062
Cl  0.3906  0.3467  0.2938
Cl  0.6533  0.0439  0.2938
Cl  0.6533  0.6094  0.7062
Cl  0.9561  0.3467  0.7062
Cl  0.9561  0.6094  0.2938

Most intense lines, 10° ≤ 2θ ≤ 80°, most intense first:
d_spacing, I (rel.)
4.491, 100
2.422, 49
2.150, 31
2.742, 26
3.463, 22
1.999, 17
3.083, 14
1.615, 13
2.114, 12
1.600, 12
1.542, 11
2.950, 11

***

No. 8
Th3Si4Rh2: theoretical XRD peak list (CuKα), based on a GGA-PBE-relaxed structure.
No peak broadening, texture or thermal motion is included.

Atomic structure:
a b c (Å): 5.9023 5.9023 8.2434
angles (deg): 101.08 101.08 41.72
Sites, in units of the cell vectors:
Th  0.0000  0.0000  0.0000
Th  0.3337  0.3337  0.3385
Th  0.6663  0.6663  0.6615
Si  0.0522  0.0522  0.3864
Si  0.2743  0.2743  0.9358
Si  0.7257  0.7257  0.0642
Si  0.9478  0.9478  0.6136
Rh  0.3956  0.3956  0.7247
Rh  0.6044  0.6044  0.2753

Most intense lines, 10° ≤ 2θ ≤ 80°, most intense first:
d_spacing, I (rel.)
2.734, 100
2.711, 69
3.632, 51
2.087, 45
2.689, 31
3.606, 24
2.102, 23
2.056, 21
1.666, 17
1.656, 15
1.475, 15
4.112, 15

***

No. 9
AlIn2N3: theoretical XRD peak list (CuKα), based on a GGA-PBE-relaxed structure.
No peak broadening, texture or thermal motion is included.

Atomic structure:
a b c (Å): 5.9398 5.9398 5.5000
angles (deg): 90.00 90.00 59.84
Sites, in units of the cell vectors:
Al  0.1588  0.8412  0.5000
Al  0.8412  0.1588  0.0000
In  0.1646  0.5117  0.9979
In  0.4883  0.8354  0.9979
In  0.5117  0.1646  0.4979
In  0.8354  0.4883  0.4979
N  0.1314  0.8686  0.8480
N  0.1670  0.5311  0.3964
N  0.4689  0.8330  0.3964
N  0.5311  0.1670  0.8964
N  0.8330  0.4689  0.8964
N  0.8686  0.1314  0.3480

Most intense lines, 10° ≤ 2θ ≤ 80°, most intense first:
d_spacing, I (rel.)
2.612, 100
2.967, 40
2.750, 34
1.560, 28
3.754, 27
2.017, 20
1.712, 18
5.144, 18
1.453, 17
1.434, 10
1.716, 9
1.456, 9

***

No. 10
Cu3SO8: theoretical XRD peak list (CuKα), based on a GGA-PBE-relaxed structure.
No peak broadening, texture or thermal motion is included.

Atomic structure:
a b c (Å): 8.0293 5.8994 13.2136
angles (deg): 90.00 90.00 90.00
Sites, in units of the cell vectors:
Cu  0.0010  0.2500  0.0014
Cu  0.2159  0.5035  0.6135
Cu  0.2159  0.9965  0.6135
Cu  0.2841  0.0035  0.1135
Cu  0.2841  0.4965  0.1135
Cu  0.4990  0.7500  0.5014
Cu  0.5010  0.2500  0.4986
Cu  0.7159  0.5035  0.8865
Cu  0.7159  0.9965  0.8865
Cu  0.7841  0.0035  0.3865
Cu  0.7841  0.4965  0.3865
Cu  0.9990  0.7500  0.9986
S  0.1112  0.2500  0.3561
S  0.3888  0.7500  0.8561
S  0.6112  0.2500  0.1439
S  0.8888  0.7500  0.6439
O  0.0056  0.0372  0.3418
O  0.0056  0.4628  0.3418
O  0.0566  0.5067  0.0834
O  0.0566  0.9933  0.0834
O  0.1890  0.2500  0.4574
O  0.2065  0.7500  0.5340
O  0.2337  0.2500  0.2748
O  0.2383  0.2500  0.6880
O  0.2617  0.7500  0.1880
O  0.2663  0.7500  0.7748
O  0.2935  0.2500  0.0340
O  0.3110  0.7500  0.9574
O  0.4434  0.0067  0.5834
O  0.4434  0.4933  0.5834
O  0.4944  0.5372  0.8418
O  0.4944  0.9628  0.8418
O  0.5056  0.0372  0.1582
O  0.5056  0.4628  0.1582
O  0.5566  0.5067  0.4166
O  0.5566  0.9933  0.4166
O  0.6890  0.2500  0.0426
O  0.7065  0.7500  0.9660
O  0.7337  0.2500  0.2252
O  0.7383  0.2500  0.8120
O  0.7617  0.7500  0.3120
O  0.7663  0.7500  0.7252
O  0.7935  0.2500  0.4660
O  0.8110  0.7500  0.5426
O  0.9434  0.0067  0.9166
O  0.9434  0.4933  0.9166
O  0.9944  0.5372  0.6582
O  0.9944  0.9628  0.6582

Most intense lines, 10° ≤ 2θ ≤ 80°, most intense first:
d_spacing, I (rel.)
5.102, 100
3.861, 71
2.553, 69
6.607, 41
2.200, 39
2.623, 32
1.483, 17
5.387, 16
2.481, 15
1.586, 14
1.475, 12
1.356, 12

***

No. 11
Pd6Pt3Au: theoretical XRD peak list (CuKα), based on a GGA-PBE-relaxed structure.
No peak broadening, texture or thermal motion is included.

Atomic structure:
a b c (Å): 4.7605 4.7605 9.0291
angles (deg): 90.00 90.00 120.00
Sites, in units of the cell vectors:
Pd  0.0000  0.3367  0.2598
Pd  0.0000  0.6633  0.7402
Pd  0.3367  0.0000  0.2598
Pd  0.3367  0.3367  0.7402
Pd  0.6633  0.0000  0.7402
Pd  0.6633  0.6633  0.2598
Pt  0.0000  0.0000  0.0000
Pt  0.3333  0.6667  0.0000
Pt  0.6667  0.3333  0.0000
Au  0.0000  0.0000  0.5000

Most intense lines, 10° ≤ 2θ ≤ 80°, most intense first:
d_spacing, I (rel.)
2.106, 100
2.302, 51
2.257, 33
1.867, 23
1.374, 21
1.272, 20
3.750, 15
1.439, 12
2.380, 12
3.044, 10
3.010, 9
1.638, 9

***

No. 12
ErSc4As5: theoretical XRD peak list (CuKα), based on a GGA-PBE-relaxed structure.
No peak broadening, texture or thermal motion is included.

Atomic structure:
a b c (Å): 10.3677 10.3677 10.3677
angles (deg): 158.20 148.91 38.29
Sites, in units of the cell vectors:
Er  0.0000  0.0000  0.0000
Sc  0.2022  0.2022  0.0000
Sc  0.3993  0.3993  0.0000
Sc  0.6007  0.6007  0.0000
Sc  0.7978  0.7978  0.0000
As  0.1049  0.6049  0.5000
As  0.3006  0.8006  0.5000
As  0.5000  0.0000  0.5000
As  0.6994  0.1994  0.5000
As  0.8951  0.3951  0.5000

Most intense lines, 10° ≤ 2θ ≤ 80°, most intense first:
d_spacing, I (rel.)
2.774, 100
1.961, 71
1.601, 24
1.240, 20
1.242, 10
5.347, 8
1.386, 7
2.679, 6
3.045, 5
4.232, 4
3.844, 4
3.361, 4